The following is a simulated XRD peak list of Tb2Sm4ErTm2. It was derived from a cell relaxed with PBE, using Cu Kα (weighted mean of Kα1 and Kα2).

Peak list (10 most intense, 2θ from 10° to 90°, most intense first)
30.7°, d = 2.914 Å, rel. 100; 35.6°, d = 2.523 Å, rel. 51; 60.9°, d = 1.522 Å, rel. 32; 51.2°, d = 1.785 Å, rel. 30; 86.1°, d = 1.129 Å, rel. 11; 83.5°, d = 1.158 Å, rel. 10; 60.9°, d = 1.520 Å, rel. 7; 63.9°, d = 1.456 Å, rel. 6; 63.9°, d = 1.458 Å, rel. 6; 51.3°, d = 1.782 Å, rel. 6

Structural model:
abc: 9.442 9.442 8.751
angles: 90.04 90.04 21.76
Positions (direct):
Tb (0.111, 0.111, 0.329)
Tb (0.889, 0.889, 0.671)
Sm (0.223, 0.223, 0.670)
Sm (0.444, 0.444, 0.331)
Sm (0.556, 0.556, 0.669)
Sm (0.777, 0.777, 0.330)
Er (0.000, 0.000, 0.000)
Tm (0.333, 0.333, 0.000)
Tm (0.667, 0.667, 0.000)